Diffraction record for NaMoPbO4. The X-ray diffraction stick pattern is theoretical, not measured: it uses a DFT-relaxed cell (PBE+U, Alexandria) and Cu Ka.
Intensities are scaled so that the largest is 100.

Structure:
abc: 6.347 5.999 7.511
angles: 90.00 109.79 90.00
Space group P2_1/m (No. 11)
Inequivalent atoms, fractional coordinates:
Na: 0.202 0.250 0.458 [2 per cell]
Mo: 0.355 0.750 0.667 [2 per cell]
Pb: 0.020 0.250 0.910 [2 per cell]
O: 0.201 0.509 0.699 [4 per cell]
O: 0.353 0.250 0.182 [2 per cell]
O: 0.354 0.750 0.428 [2 per cell]

Top 10 peaks for 2θ = 15–90°, in order of rising 2θ:
4.089 Å, I = 100, hkl 1 1 -1
3.950 Å, I = 76, hkl 1 0 1
3.161 Å, I = 28, hkl 2 0 -1
3.103 Å, I = 44, hkl 1 1 -2
3.045 Å, I = 64, hkl 0 1 2
2.999 Å, I = 51, hkl 0 2 0
2.676 Å, I = 28, hkl 2 1 0
2.389 Å, I = 27, hkl 1 2 1
2.114 Å, I = 43, hkl 2 1 -3
1.876 Å, I = 34, hkl 1 1 3